Te2MoWSeS: theoretical X-ray diffraction stick pattern (a wavelength of 1.5418 Å), based on a DFT-relaxed cell (PBE, the Materials Project).

Cell and atoms:
Cell lengths 3.4012, 3.4012, 38.6972 Å; angles 90.00, 90.00, 120.00 degrees
Space group P3m1 (No. 156)
Unique sites:
Te (0.0000, 0.0000, 0.0000) (multiplicity 1)
Te (0.0000, 0.0000, 0.0972) (multiplicity 1)
Te (0.3333, 0.6667, 0.4364) (multiplicity 1)
Te (0.3333, 0.6667, 0.5336) (multiplicity 1)
Mo (0.0000, 0.0000, 0.8607) (multiplicity 1)
Mo (0.3333, 0.6667, 0.6729) (multiplicity 1)
W (0.0000, 0.0000, 0.4850) (multiplicity 1)
W (0.3333, 0.6667, 0.0486) (multiplicity 1)
Se (0.3333, 0.6667, 0.8182) (multiplicity 1)
Se (0.3333, 0.6667, 0.9032) (multiplicity 1)
S (0.0000, 0.0000, 0.6341) (multiplicity 1)
S (0.0000, 0.0000, 0.7117) (multiplicity 1)

The 10 most intense peaks (5 to 70 degrees two-theta), low angle first:
2θ 6.85, I = 81, hkl 0 0 3
2θ 11.43, I = 100, hkl 0 0 5
2θ 30.35, I = 42, hkl 1 0 0
2θ 32.52, I = 15, hkl 1 0 5
2θ 33.44, I = 18, hkl 0 1 6
2θ 35.69, I = 98, hkl 1 0 8
2θ 38.41, I = 30, hkl 0 1 10
2θ 43.21, I = 52, hkl 0 1 13
2θ 53.92, I = 30, hkl 1 1 0
2θ 66.35, I = 16, hkl 2 0 8

Te2MoWSeS: theoretical X-ray diffraction stick pattern (a wavelength of 1.5418 Å), based on a DFT-relaxed cell (PBE, the Materials Project).

Cell and atoms:
Cell lengths 3.3930, 3.3930, 38.7676 Å; angles 90.00, 90.00, 120.00 degrees
Space group P3m1 (No. 156)
Unique sites:
Te (0.0000, 0.0000, 0.0000) (multiplicity 1)
Te (0.0000, 0.0000, 0.0967) (multiplicity 1)
Te (0.3333, 0.6667, 0.4364) (multiplicity 1)
Te (0.3333, 0.6667, 0.5331) (multiplicity 1)
Mo (0.0000, 0.0000, 0.4847) (multiplicity 1)
Mo (0.3333, 0.6667, 0.0484) (multiplicity 1)
W (0.0000, 0.0000, 0.8605) (multiplicity 1)
W (0.3333, 0.6667, 0.6726) (multiplicity 1)
Se (0.3333, 0.6667, 0.8178) (multiplicity 1)
Se (0.3333, 0.6667, 0.9032) (multiplicity 1)
S (0.0000, 0.0000, 0.6337) (multiplicity 1)
S (0.0000, 0.0000, 0.7115) (multiplicity 1)

The 10 most intense peaks (5 to 70 degrees two-theta), low angle first:
2θ 6.84, I = 29, hkl 0 0 3
2θ 11.41, I = 100, hkl 0 0 5
2θ 13.71, I = 24, hkl 0 0 6
2θ 30.45, I = 56, hkl 1 0 0
2θ 35.74, I = 89, hkl 0 1 8
2θ 37.06, I = 14, hkl 0 0 16
2θ 43.22, I = 51, hkl 1 0 13
2θ 44.98, I = 18, hkl 0 1 14
2θ 54.06, I = 31, hkl 1 1 0
2θ 66.50, I = 14, hkl 2 0 8

Te2MoWSeS: theoretical X-ray diffraction stick pattern (a wavelength of 1.5418 Å), based on a DFT-relaxed cell (PBE, the Materials Project).

Cell and atoms:
Cell lengths 3.4013, 3.4013, 38.7113 Å; angles 90.00, 90.00, 120.00 degrees
Space group P3m1 (No. 156)
Unique sites:
Te (0.0000, 0.0000, 0.0000) (multiplicity 1)
Te (0.0000, 0.0000, 0.0968) (multiplicity 1)
Te (0.0000, 0.0000, 0.3754) (multiplicity 1)
Te (0.0000, 0.0000, 0.4728) (multiplicity 1)
Mo (0.0000, 0.0000, 0.2363) (multiplicity 1)
Mo (0.6667, 0.3333, 0.0484) (multiplicity 1)
W (0.0000, 0.0000, 0.6121) (multiplicity 1)
W (0.6667, 0.3333, 0.4241) (multiplicity 1)
Se (0.6667, 0.3333, 0.5693) (multiplicity 1)
Se (0.6667, 0.3333, 0.6548) (multiplicity 1)
S (0.6667, 0.3333, 0.1975) (multiplicity 1)
S (0.6667, 0.3333, 0.2750) (multiplicity 1)

The 10 most intense peaks (5 to 70 degrees two-theta), low angle first:
2θ 6.85, I = 54, hkl 0 0 3
2θ 11.43, I = 100, hkl 0 0 5
2θ 13.73, I = 18, hkl 0 0 6
2θ 30.36, I = 49, hkl 1 0 0
2θ 35.68, I = 96, hkl 1 0 8
2θ 38.40, I = 16, hkl 1 0 10
2θ 43.20, I = 52, hkl 1 0 13
2θ 44.96, I = 16, hkl 0 1 14
2θ 53.92, I = 33, hkl 1 1 0
2θ 66.34, I = 16, hkl 2 0 8

Te2Mo3WSe2S4: theoretical X-ray diffraction stick pattern (a wavelength of 1.5418 Å), based on a DFT-relaxed cell (PBE, the Materials Project).

Cell and atoms:
Cell lengths 3.3082, 3.3082, 37.5984 Å; angles 90.00, 90.00, 120.00 degrees
Space group P3m1 (No. 156)
Unique sites:
Te (0.0000, 0.0000, 0.0000) (multiplicity 1)
Te (0.0000, 0.0000, 0.1017) (multiplicity 1)
Mo (0.0000, 0.0000, 0.4872) (multiplicity 1)
Mo (0.0000, 0.0000, 0.8630) (multiplicity 1)
Mo (0.3333, 0.6667, 0.0509) (multiplicity 1)
W (0.3333, 0.6667, 0.6751) (multiplicity 1)
Se (0.0000, 0.0000, 0.6302) (multiplicity 1)
Se (0.0000, 0.0000, 0.7200) (multiplicity 1)
S (0.3333, 0.6667, 0.4466) (multiplicity 1)
S (0.3333, 0.6667, 0.5278) (multiplicity 1)
S (0.3333, 0.6667, 0.8223) (multiplicity 1)
S (0.3333, 0.6667, 0.9036) (multiplicity 1)

The 10 most intense peaks (5 to 70 degrees two-theta), low angle first:
2θ 7.05, I = 69, hkl 0 0 3
2θ 11.77, I = 100, hkl 0 0 5
2θ 14.13, I = 24, hkl 0 0 6
2θ 31.24, I = 44, hkl 1 0 0
2θ 33.47, I = 14, hkl 1 0 5
2θ 36.74, I = 83, hkl 0 1 8
2θ 39.55, I = 14, hkl 1 0 10
2θ 44.51, I = 43, hkl 1 0 13
2θ 46.34, I = 16, hkl 1 0 14
2θ 55.57, I = 28, hkl 1 1 0

TeMoWSe2S: theoretical X-ray diffraction stick pattern (a wavelength of 1.5418 Å), based on a DFT-relaxed cell (PBE, the Materials Project).

Cell and atoms:
Cell lengths 3.3462, 3.3462, 38.0876 Å; angles 90.00, 90.00, 120.00 degrees
Space group P3m1 (No. 156)
Unique sites:
Te (0.0000, 0.0000, 0.0000) (multiplicity 1)
Te (0.0000, 0.0000, 0.1001) (multiplicity 1)
Mo (0.0000, 0.0000, 0.8621) (multiplicity 1)
Mo (0.3333, 0.6667, 0.6743) (multiplicity 1)
W (0.0000, 0.0000, 0.4864) (multiplicity 1)
W (0.3333, 0.6667, 0.0501) (multiplicity 1)
Se (0.3333, 0.6667, 0.4424) (multiplicity 1)
Se (0.3333, 0.6667, 0.5304) (multiplicity 1)
Se (0.3333, 0.6667, 0.8183) (multiplicity 1)
Se (0.3333, 0.6667, 0.9059) (multiplicity 1)
S (0.0000, 0.0000, 0.6345) (multiplicity 1)
S (0.0000, 0.0000, 0.7141) (multiplicity 1)

The 10 most intense peaks (5 to 70 degrees two-theta), low angle first:
2θ 6.96, I = 66, hkl 0 0 3
2θ 11.62, I = 100, hkl 0 0 5
2θ 13.95, I = 16, hkl 0 0 6
2θ 30.87, I = 36, hkl 1 0 0
2θ 33.07, I = 15, hkl 1 0 5
2θ 34.01, I = 15, hkl 0 1 6
2θ 36.29, I = 84, hkl 1 0 8
2θ 39.06, I = 22, hkl 0 1 10
2θ 43.95, I = 47, hkl 0 1 13
2θ 54.88, I = 27, hkl 1 1 0

Te2MoW3Se4S2: theoretical X-ray diffraction stick pattern (a wavelength of 1.5418 Å), based on a DFT-relaxed cell (PBE, the Materials Project).

Cell and atoms:
Cell lengths 3.3425, 3.3425, 38.7338 Å; angles 90.00, 90.00, 120.00 degrees
Space group P3m1 (No. 156)
Unique sites:
Te (0.0000, 0.0000, 0.0000) (multiplicity 1)
Te (0.0000, 0.0000, 0.0985) (multiplicity 1)
Mo (0.3333, 0.6667, 0.6735) (multiplicity 1)
W (0.0000, 0.0000, 0.4856) (multiplicity 1)
W (0.0000, 0.0000, 0.8613) (multiplicity 1)
W (0.3333, 0.6667, 0.0492) (multiplicity 1)
Se (0.0000, 0.0000, 0.6305) (multiplicity 1)
Se (0.0000, 0.0000, 0.7165) (multiplicity 1)
Se (0.3333, 0.6667, 0.8181) (multiplicity 1)
Se (0.3333, 0.6667, 0.9046) (multiplicity 1)
S (0.3333, 0.6667, 0.4464) (multiplicity 1)
S (0.3333, 0.6667, 0.5249) (multiplicity 1)

The 10 most intense peaks (5 to 70 degrees two-theta), low angle first:
2θ 6.85, I = 31, hkl 0 0 3
2θ 11.42, I = 100, hkl 0 0 5
2θ 13.72, I = 18, hkl 0 0 6
2θ 30.91, I = 36, hkl 1 0 0
2θ 33.04, I = 14, hkl 1 0 5
2θ 36.15, I = 71, hkl 1 0 8
2θ 43.59, I = 44, hkl 0 1 13
2θ 45.34, I = 15, hkl 1 0 14
2θ 54.95, I = 25, hkl 1 1 0
2θ 67.55, I = 11, hkl 0 2 8

Please write out number 5 again, unchanged.
TeMoWSe2S: theoretical X-ray diffraction stick pattern (a wavelength of 1.5418 Å), based on a DFT-relaxed cell (PBE, the Materials Project).

Cell and atoms:
Cell lengths 3.3462, 3.3462, 38.0876 Å; angles 90.00, 90.00, 120.00 degrees
Space group P3m1 (No. 156)
Unique sites:
Te (0.0000, 0.0000, 0.0000) (multiplicity 1)
Te (0.0000, 0.0000, 0.1001) (multiplicity 1)
Mo (0.0000, 0.0000, 0.8621) (multiplicity 1)
Mo (0.3333, 0.6667, 0.6743) (multiplicity 1)
W (0.0000, 0.0000, 0.4864) (multiplicity 1)
W (0.3333, 0.6667, 0.0501) (multiplicity 1)
Se (0.3333, 0.6667, 0.4424) (multiplicity 1)
Se (0.3333, 0.6667, 0.5304) (multiplicity 1)
Se (0.3333, 0.6667, 0.8183) (multiplicity 1)
Se (0.3333, 0.6667, 0.9059) (multiplicity 1)
S (0.0000, 0.0000, 0.6345) (multiplicity 1)
S (0.0000, 0.0000, 0.7141) (multiplicity 1)

The 10 most intense peaks (5 to 70 degrees two-theta), low angle first:
2θ 6.96, I = 66, hkl 0 0 3
2θ 11.62, I = 100, hkl 0 0 5
2θ 13.95, I = 16, hkl 0 0 6
2θ 30.87, I = 36, hkl 1 0 0
2θ 33.07, I = 15, hkl 1 0 5
2θ 34.01, I = 15, hkl 0 1 6
2θ 36.29, I = 84, hkl 1 0 8
2θ 39.06, I = 22, hkl 0 1 10
2θ 43.95, I = 47, hkl 0 1 13
2θ 54.88, I = 27, hkl 1 1 0